[1]
# KPm3
Theoretical powder diffraction line list, Cu Ka. Input: a DFT-relaxed cell (GGA-PBE, the Materials Project).
Lines closer than 0.1° are merged.

Structural model:
Cell: 5.341 5.341 5.341 Å, 90.00 90.00 90.00°
Space group Pm-3m (No. 221)
Symmetry-distinct sites (fractional):
K  0.000  0.000  0.000 [1 per cell]
Pm  0.000  0.500  0.500 [3 per cell]

Peak list (8 most intense, 10 to 90 degrees two-theta, by intensity)
index, Position (°2θ), intensity
1 1 1, 28.96, 100
2 0 0, 33.56, 51
3 1 1, 57.21, 43
2 2 0, 48.19, 36
3 3 1, 77.98, 17
4 2 0, 80.41, 16
1 0 0, 16.60, 13
2 2 2, 60.00, 13

=====

[2]
# Y2CdCu2
Theoretical powder diffraction line list, Cu Ka. Input: a DFT-relaxed cell (GGA-PBE, the Materials Project).
Lines closer than 0.1° are merged.

Structural model:
Cell: 7.592 7.592 3.682 Å, 90.00 90.00 90.00°
Space group P4/mbm (No. 127)
Symmetry-distinct sites (fractional):
Y  0.177  0.323  0.000 [4 per cell]
Cd  0.000  0.000  0.500 [2 per cell]
Cu  0.117  0.617  0.500 [4 per cell]

Peak list (8 most intense, 10 to 90 degrees two-theta, by intensity)
index, Position (°2θ), intensity
2 1 1, 35.98, 100
2 0 1, 33.92, 69
3 1 0, 37.46, 59
0 0 2, 49.51, 31
3 1 2, 63.70, 23
2 2 0, 33.38, 21
5 1 1, 67.91, 20
3 3 1, 57.24, 15

=====

[3]
# Zn3Ni
Theoretical powder diffraction line list, Cu Ka. Input: a DFT-relaxed cell (GGA-PBE, the Materials Project).
Lines closer than 0.1° are merged.

Structural model:
Cell: 3.657 3.657 7.894 Å, 90.00 90.00 90.00°
Space group I4/mmm (No. 139)
Symmetry-distinct sites (fractional):
Zn  0.000  0.000  0.000 [2 per cell]
Zn  0.000  0.500  0.250 [4 per cell]
Ni  0.000  0.000  0.500 [2 per cell]

Peak list (7 most intense, 10 to 90 degrees two-theta, by intensity)
index, Position (°2θ), intensity
1 1 2, 41.76, 100
2 0 0, 49.88, 29
3 1 2, 88.01, 21
2 0 4, 70.17, 19
0 0 4, 45.99, 19
1 1 6, 82.21, 12
2 2 0, 73.21, 9

=====

[4]
# TaPbF7
Theoretical powder diffraction line list, Cu Ka. Input: a DFT-relaxed cell (GGA-PBE, the Materials Project).
Lines closer than 0.1° are merged.

Structural model:
Cell: 4.996 7.434 6.891 Å, 90.00 94.02 90.00°
Space group P2_1/m (No. 11)
Symmetry-distinct sites (fractional):
Ta  0.034  0.250  0.218 [2 per cell]
Pb  0.486  0.250  0.684 [2 per cell]
F  0.095  0.750  0.512 [2 per cell]
F  0.145  0.750  0.051 [2 per cell]
F  0.173  0.531  0.789 [4 per cell]
F  0.301  0.079  0.359 [4 per cell]
F  0.329  0.250  0.049 [2 per cell]

Peak list (8 most intense, 10 to 90 degrees two-theta, by intensity)
index, Position (°2θ), intensity
1 1 -1, 24.45, 100
1 1 1, 25.76, 88
0 2 0, 23.94, 63
1 3 1, 43.25, 34
0 0 2, 25.92, 30
2 2 0, 43.74, 28
0 1 2, 28.61, 23
1 3 -1, 42.42, 19

=====

[5]
# NpP3
Theoretical powder diffraction line list, Cu Ka. Input: a DFT-relaxed cell (GGA-PBE, the Materials Project).
Lines closer than 0.1° are merged.

Structural model:
Cell: 5.4057 5.4057 5.2559 Å, 90.00 90.00 120.00°
Space group P6_3/mmc (No. 194)
Symmetry-distinct sites (fractional):
Np  0.3333  0.6667  0.2500 [2 per cell]
P  0.1856  0.3712  0.7500 [6 per cell]

Peak list (8 most intense, 10 to 90 degrees two-theta, by intensity)
index, Position (°2θ), intensity
1 0 1, 25.48, 100
2 0 1, 42.27, 75
1 0 0, 18.96, 47
1 1 0, 33.14, 40
2 1 1, 54.74, 35
0 0 2, 34.12, 31
1 1 2, 48.30, 29
2 0 3, 66.68, 19

=====

[6]
# La2CuN2Cl2
Theoretical powder diffraction line list, Cu Ka. Input: a DFT-relaxed cell (GGA-PBE, the Materials Project).
Lines closer than 0.1° are merged.

Structural model:
Cell: 4.000 4.000 16.341 Å, 90.00 90.00 90.00°
Space group I4/mmm (No. 139)
Symmetry-distinct sites (fractional):
La  0.000  0.000  0.098 [4 per cell]
Cu  0.000  0.000  0.500 [2 per cell]
N  0.000  0.500  0.000 [4 per cell]
Cl  0.000  0.000  0.316 [4 per cell]

Peak list (8 most intense, 10 to 90 degrees two-theta, by intensity)
index, Position (°2θ), intensity
1 0 5, 35.47, 100
1 1 0, 31.64, 62
0 0 2, 10.83, 49
2 1 5, 58.85, 44
2 0 0, 45.35, 29
1 0 1, 22.89, 28
2 2 0, 66.05, 21
2 0 10, 75.09, 20

=====

[7]
# Na3Ga
Theoretical powder diffraction line list, Cu Ka. Input: a DFT-relaxed cell (GGA-PBE, the Materials Project).
Lines closer than 0.1° are merged.

Structural model:
Cell: 6.8681 6.8681 5.6737 Å, 90.00 90.00 120.00°
Space group P6_3/mmc (No. 194)
Symmetry-distinct sites (fractional):
Na  0.1741  0.3483  0.2500 [6 per cell]
Ga  0.3333  0.6667  0.7500 [2 per cell]

Peak list (8 most intense, 10 to 90 degrees two-theta, by intensity)
index, Position (°2θ), intensity
2 0 1, 34.04, 100
1 0 1, 21.65, 31
0 0 2, 31.54, 28
2 0 0, 30.05, 23
2 0 3, 57.77, 20
2 2 2, 63.31, 19
1 0 0, 14.89, 19
2 2 0, 53.36, 17

=====

[8]
# SrCu2PbS4
Theoretical powder diffraction line list, Cu Ka. Input: a DFT-relaxed cell (GGA-PBE, the Materials Project).
Lines closer than 0.1° are merged.

Structural model:
Cell: 6.4368 6.4368 15.7302 Å, 90.00 90.00 120.00°
Space group P3_221 (No. 154)
Symmetry-distinct sites (fractional):
Sr  0.0000  0.5672  0.3333 [3 per cell]
Cu  0.0731  0.6284  0.0879 [6 per cell]
Pb  0.0000  0.7031  0.8333 [3 per cell]
S  0.0521  0.4724  0.7078 [6 per cell]
S  0.1349  0.3708  0.1752 [6 per cell]

Peak list (8 most intense, 10 to 90 degrees two-theta, by intensity)
index, Position (°2θ), intensity
1 0 4, 27.74, 100
0 0 3, 16.88, 32
0 2 1, 32.65, 25
0 2 4, 39.63, 23
3 0 3, 52.26, 20
0 2 5, 43.36, 18
0 1 2, 19.52, 18
2 1 4, 49.05, 18

=====

[9]
# PW4Cl11
Theoretical powder diffraction line list, Cu Ka. Input: a DFT-relaxed cell (GGA-PBE, the Materials Project).
Lines closer than 0.1° are merged.

Structural model:
Cell: 14.562 10.085 11.533 Å, 90.00 90.79 90.00°
Space group C2/m (No. 12)
Symmetry-distinct sites (fractional):
P  0.177  0.000  0.248 [4 per cell]
W  0.226  0.370  0.627 [8 per cell]
W  0.226  0.370  0.872 [8 per cell]
Cl  0.037  0.000  0.247 [4 per cell]
Cl  0.092  0.343  0.748 [8 per cell]
Cl  0.131  0.500  0.001 [4 per cell]
Cl  0.131  0.500  0.496 [4 per cell]
Cl  0.154  0.171  0.513 [8 per cell]
Cl  0.154  0.171  0.983 [8 per cell]
Cl  0.203  0.306  0.249 [8 per cell]

Peak list (8 most intense, 10 to 90 degrees two-theta, by intensity)
index, Position (°2θ), intensity
2 0 0, 12.16, 100
1 1 -1, 13.15, 83
2 4 0, 37.76, 11
1 3 1, 28.32, 10
2 0 4, 33.62, 9
2 0 -4, 33.27, 8
0 4 4, 47.92, 8
2 4 -4, 49.54, 7

=====

[10]
# ErAgS2
Theoretical powder diffraction line list, Cu Ka. Input: a DFT-relaxed cell (GGA-PBE, the Materials Project).
Lines closer than 0.1° are merged.

Structural model:
Cell: 3.913 3.913 5.413 Å, 90.00 90.00 90.00°
Space group P4/mmm (No. 123)
Symmetry-distinct sites (fractional):
Er  0.000  0.000  0.000 [1 per cell]
Ag  0.500  0.500  0.500 [1 per cell]
S  0.000  0.000  0.500 [1 per cell]
S  0.500  0.500  0.000 [1 per cell]

Peak list (8 most intense, 10 to 90 degrees two-theta, by intensity)
index, Position (°2θ), intensity
1 0 1, 28.14, 100
1 1 0, 32.36, 94
1 1 2, 46.96, 65
0 0 2, 33.10, 44
2 0 0, 46.41, 33
2 0 2, 58.18, 33
2 1 1, 55.16, 32
3 1 2, 86.48, 22